# Ac3CeS6
Computed powder XRD pattern, Cu Ka. Input: a crystal structure in Alexandria, relaxed with PBE.

Main lines, in order of rising 2θ (15° ≤ 2θ ≤ 90°):
2θ/deg  I/Imax  (hkl)
23.03  69  1 1 1
23.49  100  3 1 -1
23.94  19  2 0 -2
32.41  16  4 0 0
33.81  35  2 2 -2
40.43  27  4 2 0
41.05  15  1 3 1
41.29  39  6 0 -2
42.09  14  5 1 -3
48.07  16  0 4 0

Lattice parameters (Å, degrees): 13.156 7.565 7.435 90.00 122.88 90.00
Space group C2/m (No. 12)
Symmetry-distinct sites (fractional):
Ac 0.000 0.000 0.000 [2 per cell]
Ac 0.249 0.000 0.704 [4 per cell]
Ce 0.000 0.500 0.500 [2 per cell]
S 0.091 0.252 0.347 [8 per cell]
S 0.242 0.500 0.891 [4 per cell]

=====

# Ac2CeSb2Te2
Computed powder XRD pattern, Cu Ka. Input: a crystal structure in Alexandria, relaxed with PBE.

Main lines, in order of rising 2θ (15° ≤ 2θ ≤ 90°):
2θ/deg  I/Imax  (hkl)
21.58  71  1 1 0
24.13  22  1 1 2
30.59  55  1 1 4
30.71  100  2 0 0
31.01  82  1 0 5
43.98  38  2 2 0
44.20  62  2 1 5
54.52  22  3 1 4
64.12  21  3 2 5
72.59  22  4 2 0

Lattice parameters (Å, degrees): 5.823 5.823 16.596 90.00 90.00 90.00
Space group I4/mmm (No. 139)
Symmetry-distinct sites (fractional):
Ac 0.000 0.000 0.123 [4 per cell]
Ce 0.000 0.000 0.500 [2 per cell]
Sb 0.000 0.500 0.000 [4 per cell]
Te 0.000 0.000 0.315 [4 per cell]

=====

# Ac2Ce2Se7
Computed powder XRD pattern, Cu Ka. Input: a crystal structure in Alexandria, relaxed with PBE.

Main lines, in order of rising 2θ (15° ≤ 2θ ≤ 90°):
2θ/deg  I/Imax  (hkl)
21.00  59  0 2 1
22.57  89  2 0 1
33.99  37  0 4 0
35.95  100  2 2 2
37.96  29  4 0 0
41.19  34  2 4 1
42.80  16  2 0 3
43.78  18  4 2 1
51.86  22  4 4 0
62.11  18  2 6 2

Lattice parameters (Å, degrees): 9.480 10.550 7.080 90.00 90.00 90.00
Space group Cmmm (No. 65)
Symmetry-distinct sites (fractional):
Ac 0.244 0.000 0.000 [4 per cell]
Ce 0.000 0.230 0.500 [4 per cell]
Se 0.000 0.000 0.265 [4 per cell]
Se 0.000 0.500 0.500 [2 per cell]
Se 0.250 0.250 0.249 [8 per cell]

=====

# Ac4CeSe6
Computed powder XRD pattern, Cu Ka. Input: a crystal structure in Alexandria, relaxed with PBE.

Main lines, in order of rising 2θ (15° ≤ 2θ ≤ 90°):
2θ/deg  I/Imax  (hkl)
22.84  59  1 1 3
24.93  100  3 0 0
29.03  53  0 2 4
30.66  68  1 3 1
32.51  58  2 1 4
34.06  79  2 2 3
38.51  35  2 3 2
43.91  25  5 0 2
44.01  45  3 2 4
65.87  32  3 5 4

Lattice parameters (Å, degrees): 12.3764 12.3764 15.0260 90.00 90.00 120.00
Space group R-3c (No. 167, hexagonal axes)
Symmetry-distinct sites (fractional):
Ac 0.0000 0.0000 0.2500 [6 per cell]
Ac 0.0000 0.3812 0.2500 [18 per cell]
Ce 0.0000 0.0000 0.0000 [6 per cell]
Se 0.0281 0.2028 0.3870 [36 per cell]